Starting from a GGA-PBE-relaxed structure, the powder X-ray diffraction pattern of K3Ga6Sn5 was calculated for CuKα.
No peak broadening, texture or thermal motion is included.

Largest 12 diffraction maxima, sorted by position, 2θ from 15° to 90°:
two_theta, intensity
20.38, 20
20.48, 17
24.12, 22
29.30, 45
30.92, 100
38.53, 41
38.78, 33
40.51, 82
42.11, 27
55.82, 23
71.05, 16
87.64, 13

Cell and atoms:
a b c (Å): 4.6726 13.9335 12.0895
angles (deg): 90.00 90.00 90.00
Element x y z (fractional)
K  0.2500  0.0975  0.2440
K  0.2500  0.4025  0.2440
K  0.2500  0.7500  0.2542
K  0.7500  0.2500  0.7458
K  0.7500  0.5975  0.7560
K  0.7500  0.9025  0.7560
Ga  0.2500  0.0751  0.8711
Ga  0.2500  0.2500  0.5152
Ga  0.2500  0.2500  0.9956
Ga  0.2500  0.4249  0.8711
Ga  0.2500  0.5854  0.4905
Ga  0.2500  0.9146  0.4905
Ga  0.7500  0.0854  0.5095
Ga  0.7500  0.4146  0.5095
Ga  0.7500  0.5751  0.1289
Ga  0.7500  0.7500  0.0044
Ga  0.7500  0.7500  0.4848
Ga  0.7500  0.9249  0.1289
Sn  0.2500  0.0735  0.6393
Sn  0.2500  0.4265  0.6393
Sn  0.2500  0.6044  0.9954
Sn  0.2500  0.7500  0.6226
Sn  0.2500  0.8956  0.9954
Sn  0.7500  0.1044  0.0046
Sn  0.7500  0.2500  0.3774
Sn  0.7500  0.3956  0.0046
Sn  0.7500  0.5735  0.3607
Sn  0.7500  0.9265  0.3607